For KCo2H3Se2O10, the PBE+U geometry in Alexandria gives the calculated powder XRD pattern in this record (copper Kα).
Kinematic intensities with the Lorentz-polarization factor, no thermal factor.

Peak list (10 most intense, 5 to 70 degrees two-theta, most intense first)
2θ (°), Rel. int.
26.4, 100
28.9, 81
17.1, 80
25.2, 78
33.6, 73
32.3, 56
29.7, 56
52.6, 48
12.4, 45
51.1, 35

Unit cell a=5.6570 b=5.6570 c=7.8488 alpha=109.53 beta=109.53 gamma=71.67
Positions (direct):
1 K 0.0000 0.0000 0.0000
2 Co 0.9996 0.5078 0.4965
3 Co 0.5078 0.9996 0.4965
4 H 0.0244 0.0244 0.5160
5 H 0.1896 0.1896 0.7165
6 H 0.8198 0.8198 0.2902
7 Se 0.4207 0.4207 0.2195
8 Se 0.5808 0.5808 0.7803
9 O 0.1537 0.1537 0.5797
10 O 0.2566 0.6772 0.7254
11 O 0.3009 0.3009 0.9953
12 O 0.3059 0.3059 0.3453
13 O 0.3230 0.7446 0.2757
14 O 0.6772 0.2566 0.7254
15 O 0.6943 0.6943 0.6536
16 O 0.7004 0.7004 0.0044
17 O 0.7446 0.3230 0.2757
18 O 0.8518 0.8518 0.4258